(1)
Simulated X-ray powder pattern of TmSc2PtC for Cu Kα (λ = 1.5418 Å), from a GGA-PBE-relaxed structure.
Kinematic intensities with the Lorentz-polarization factor, no thermal factor.

Largest 10 diffraction maxima, in order of falling intensity, 10 to 90 degrees two-theta:
d/Å  I (rel.)
2.613  100.0
4.854  38.6
2.193  33.1
3.101  32.0
1.627  25.6
1.333  24.4
2.427  22.3
1.911  16.8
1.998  16.8
1.434  15.6

Crystal structure
Lattice parameters (Å, degrees): 4.385 4.385 4.854 90.00 90.00 90.00
Fractional coordinates of all 5 atoms:
Tm1 0.000 0.000 0.000
Sc1 0.000 0.500 0.500
Sc2 0.500 0.000 0.500
Pt1 0.500 0.500 0.002
C1 0.000 0.000 0.501

(2)
Simulated X-ray powder pattern of Cs3Tl2I3Cl2 for Cu Kα (λ = 1.5418 Å), from a GGA-PBE-relaxed structure.
Kinematic intensities with the Lorentz-polarization factor, no thermal factor.

Largest 10 diffraction maxima, in order of falling intensity, 10 to 90 degrees two-theta:
d/Å  I (rel.)
3.954  100.0
2.645  58.2
2.796  55.8
1.768  42.0
4.397  28.1
1.977  27.0
3.761  26.5
2.198  25.1
1.584  24.0
3.558  23.2

Crystal structure
Lattice parameters (Å, degrees): 18.224 18.224 18.224 162.35 162.35 25.06
Fractional coordinates of all 10 atoms:
Cs1 0.000 0.000 0.000
Cs2 0.389 0.389 0.000
Cs3 0.611 0.611 0.000
Tl1 0.215 0.215 0.000
Tl2 0.785 0.785 0.000
I1 0.108 0.108 0.000
I2 0.500 0.500 0.000
I3 0.892 0.892 0.000
Cl1 0.250 0.750 0.500
Cl2 0.750 0.250 0.500